Entry 1:
This entry pairs a crystal structure of DyTl3S3 with its theoretical X-ray powder pattern. Radiation: Cu Kα (weighted mean of Kα1 and Kα2). Structure: the PBE geometry in Alexandria.

Atomic structure:
```
DyTl3S3
1.0
8.766 0.000 0.000
0.000 4.061 0.000
-0.713 0.000 11.901
Dy Tl S
2 6 6
direct
0.113 0.250 0.383 Dy
0.887 0.750 0.617 Dy
0.144 0.250 0.875 Tl
0.335 0.750 0.145 Tl
0.384 0.750 0.637 Tl
0.616 0.250 0.363 Tl
0.665 0.250 0.855 Tl
0.856 0.750 0.125 Tl
0.096 0.250 0.153 S
0.101 0.250 0.614 S
0.327 0.750 0.392 S
0.673 0.250 0.608 S
0.899 0.750 0.386 S
0.904 0.750 0.847 S
```

Principal peaks in the range 10° ≤ 2θ ≤ 80°, sorted by position:
2θ (°)	I_rel
24.52	31
25.99	30
26.57	57
30.03	100
42.06	21
43.89	25
44.62	13
54.73	12

***

Entry 2:
This entry pairs a crystal structure of La2SmF11 with its theoretical X-ray powder pattern. Radiation: Cu Kα (weighted mean of Kα1 and Kα2). Structure: the PBE geometry in Alexandria.

Atomic structure:
```
La2SmF11
1.0
-4.444 5.325 5.816
4.444 -5.325 5.816
4.444 5.325 -5.816
La Sm F
4 2 22
direct
0.192 0.169 0.361 La
0.308 0.669 0.977 La
0.692 0.331 0.023 La
0.808 0.831 0.639 La
0.250 0.750 0.500 Sm
0.750 0.250 0.500 Sm
0.000 0.000 0.000 F
0.023 0.454 0.769 F
0.061 0.830 0.624 F
0.185 0.896 0.081 F
0.185 0.954 0.431 F
0.206 0.437 0.376 F
0.294 0.670 0.231 F
0.315 0.396 0.712 F
0.315 0.746 0.769 F
0.439 0.063 0.769 F
0.477 0.246 0.431 F
0.500 0.500 0.000 F
0.523 0.754 0.569 F
0.561 0.937 0.231 F
0.685 0.254 0.231 F
0.685 0.604 0.288 F
0.706 0.330 0.769 F
0.794 0.563 0.624 F
0.815 0.046 0.569 F
0.815 0.104 0.919 F
0.939 0.170 0.376 F
0.977 0.546 0.231 F
```

Principal peaks in the range 10° ≤ 2θ ≤ 80°, sorted by position:
2θ (°)	I_rel
12.97	36
20.06	100
20.89	38
22.64	80
22.99	53
25.22	33
41.40	28
42.68	44

***

Entry 3:
This entry pairs a crystal structure of CeIn2GaAu2 with its theoretical X-ray powder pattern. Radiation: Cu Kα (weighted mean of Kα1 and Kα2). Structure: the PBE geometry in Alexandria.

Atomic structure:
```
CeIn2GaAu2
1.0
5.457 0.000 0.000
0.000 5.457 0.000
0.000 0.000 11.185
Ce In Ga Au
2 4 2 4
direct
0.000 0.000 0.000 Ce
0.500 0.500 0.500 Ce
0.000 0.500 0.250 In
0.000 0.500 0.750 In
0.500 0.000 0.250 In
0.500 0.000 0.750 In
0.000 0.000 0.500 Ga
0.500 0.500 0.000 Ga
0.000 0.000 0.278 Au
0.000 0.000 0.722 Au
0.500 0.500 0.222 Au
0.500 0.500 0.778 Au
```

Principal peaks in the range 10° ≤ 2θ ≤ 80°, sorted by position:
2θ (°)	I_rel
15.85	61
23.05	47
32.01	42
32.82	100
36.65	32
46.50	59
47.10	36
58.09	30

***

Entry 4:
This entry pairs a crystal structure of NiOsPt with its theoretical X-ray powder pattern. Radiation: Cu Kα (weighted mean of Kα1 and Kα2). Structure: the PBE geometry in Alexandria.

Atomic structure:
```
NiOsPt
1.0
2.695 0.000 0.000
0.000 4.588 0.000
0.000 0.000 13.746
Ni Os Pt
4 4 4
direct
0.000 0.000 0.000 Ni
0.000 0.500 0.500 Ni
0.500 0.000 0.500 Ni
0.500 0.500 0.000 Ni
0.000 0.000 0.654 Os
0.000 0.500 0.154 Os
0.500 0.000 0.154 Os
0.500 0.500 0.654 Os
0.000 0.000 0.336 Pt
0.000 0.500 0.836 Pt
0.500 0.000 0.836 Pt
0.500 0.500 0.336 Pt
```

Principal peaks in the range 10° ≤ 2θ ≤ 80°, sorted by position:
2θ (°)	I_rel
12.88	20
25.93	17
39.30	80
43.67	100
47.67	7
56.79	22
61.86	10
74.28	38

***

Entry 5:
This entry pairs a crystal structure of Rb2BaPrF8 with its theoretical X-ray powder pattern. Radiation: Cu Kα (weighted mean of Kα1 and Kα2). Structure: the PBE geometry in Alexandria.

Atomic structure:
```
Rb2BaPrF8
1.0
-3.169 3.169 6.111
3.169 -3.169 6.111
3.169 3.169 -6.111
Rb Ba Pr F
2 1 1 8
direct
0.000 0.000 0.000 Rb
0.750 0.250 0.500 Rb
0.500 0.500 0.000 Ba
0.250 0.750 0.500 Pr
0.158 0.096 0.522 F
0.158 0.636 0.062 F
0.364 0.426 0.522 F
0.364 0.842 0.938 F
0.574 0.096 0.938 F
0.574 0.636 0.478 F
0.904 0.426 0.062 F
0.904 0.842 0.478 F
```

Principal peaks in the range 10° ≤ 2θ ≤ 80°, sorted by position:
2θ (°)	I_rel
15.75	13
24.63	100
28.16	16
40.25	22
41.04	43
47.76	32
49.14	16
65.32	13

***

Entry 6:
This entry pairs a crystal structure of La2PmDy7 with its theoretical X-ray powder pattern. Radiation: Cu Kα (weighted mean of Kα1 and Kα2). Structure: the PBE geometry in Alexandria.

Atomic structure:
```
La2PmDy7
1.0
5.095 0.000 0.000
-0.018 7.185 0.000
-2.547 -1.862 8.990
La Pm Dy
2 1 7
direct
0.198 0.102 0.396 La
0.802 0.898 0.604 La
0.000 0.500 0.000 Pm
0.000 0.000 0.000 Dy
0.199 0.599 0.398 Dy
0.401 0.697 0.801 Dy
0.402 0.201 0.803 Dy
0.598 0.799 0.197 Dy
0.599 0.303 0.199 Dy
0.801 0.401 0.602 Dy
```

Principal peaks in the range 10° ≤ 2θ ≤ 80°, sorted by position:
2θ (°)	I_rel
30.44	100
35.21	34
35.45	17
50.64	12
50.80	18
60.22	22
60.54	11
63.30	9

***

Entry 7:
This entry pairs a crystal structure of LiPdAu with its theoretical X-ray powder pattern. Radiation: Cu Kα (weighted mean of Kα1 and Kα2). Structure: the PBE geometry in Alexandria.

Atomic structure:
```
LiPdAu
1.0
4.880 0.000 0.000
0.000 8.437 0.000
-1.742 0.000 4.557
Li Pd Au
4 4 4
direct
0.000 0.000 0.000 Li
0.000 0.332 0.000 Li
0.500 0.500 0.000 Li
0.500 0.832 0.000 Li
0.000 0.163 0.500 Pd
0.000 0.830 0.500 Pd
0.500 0.330 0.500 Pd
0.500 0.663 0.500 Pd
0.000 0.494 0.500 Au
0.000 0.670 0.000 Au
0.500 0.170 0.000 Au
0.500 0.994 0.500 Au
```

Principal peaks in the range 10° ≤ 2θ ≤ 80°, sorted by position:
2θ (°)	I_rel
19.48	33
22.17	64
28.84	39
39.09	100
39.55	97
45.12	34
46.02	63
66.43	52

***

Entry 8:
This entry pairs a crystal structure of Th3SnAu with its theoretical X-ray powder pattern. Radiation: Cu Kα (weighted mean of Kα1 and Kα2). Structure: the PBE geometry in Alexandria.

Atomic structure:
```
Th3SnAu
1.0
6.037 0.000 0.000
0.000 6.569 0.000
-1.701 0.000 7.412
Th Sn Au
6 2 2
direct
0.158 0.250 0.141 Th
0.302 0.007 0.655 Th
0.302 0.493 0.655 Th
0.698 0.507 0.345 Th
0.698 0.993 0.345 Th
0.842 0.750 0.859 Th
0.158 0.750 0.275 Sn
0.842 0.250 0.725 Sn
0.400 0.750 0.000 Au
0.600 0.250 0.000 Au
```

Principal peaks in the range 10° ≤ 2θ ≤ 80°, sorted by position:
2θ (°)	I_rel
29.75	82
30.07	62
31.26	68
32.21	36
33.08	24
34.75	100
37.50	41
55.98	32

***

Entry 9:
This entry pairs a crystal structure of Tb6C3S2O with its theoretical X-ray powder pattern. Radiation: Cu Kα (weighted mean of Kα1 and Kα2). Structure: the PBE geometry in Alexandria.

Atomic structure:
```
Tb6C3S2O
1.0
8.167 -1.842 0.000
8.167 1.842 0.000
-1.899 0.000 7.283
Tb C S O
6 3 2 1
direct
0.007 0.007 0.248 Tb
0.332 0.332 0.440 Tb
0.343 0.343 0.896 Tb
0.657 0.657 0.104 Tb
0.668 0.668 0.560 Tb
0.993 0.993 0.752 Tb
0.164 0.164 0.337 C
0.500 0.500 0.000 C
0.836 0.836 0.663 C
0.167 0.167 0.833 S
0.833 0.833 0.167 S
0.500 0.500 0.500 O
```

Principal peaks in the range 10° ≤ 2θ ≤ 80°, sorted by position:
2θ (°)	I_rel
28.85	28
29.48	30
29.59	61
34.05	100
48.50	21
49.33	24
49.48	12
58.15	16

***

Entry 10:
This entry pairs a crystal structure of Rb2CuBr7 with its theoretical X-ray powder pattern. Radiation: Cu Kα (weighted mean of Kα1 and Kα2). Structure: the PBE geometry in Alexandria.

Atomic structure:
```
Rb2CuBr7
1.0
-3.975 3.975 5.692
3.975 -3.975 5.692
3.975 3.975 -5.692
Rb Cu Br
2 1 7
direct
0.250 0.750 0.500 Rb
0.750 0.250 0.500 Rb
0.000 0.000 0.000 Cu
0.210 0.210 0.420 Br
0.210 0.790 0.000 Br
0.274 0.274 0.000 Br
0.500 0.500 0.000 Br
0.726 0.726 0.000 Br
0.790 0.210 0.000 Br
0.790 0.790 0.580 Br
```

Principal peaks in the range 10° ≤ 2θ ≤ 80°, sorted by position:
2θ (°)	I_rel
15.76	23
22.23	27
27.36	100
31.44	49
31.83	85
45.35	57
45.64	24
56.47	23

***

Entry 11:
This entry pairs a crystal structure of Rb2CeUSe6 with its theoretical X-ray powder pattern. Radiation: Cu Kα (weighted mean of Kα1 and Kα2). Structure: the PBE geometry in Alexandria.

Atomic structure:
```
Rb2CeUSe6
1.0
7.802 0.000 0.000
0.000 11.032 0.000
0.000 0.000 7.801
Rb Ce U Se
4 2 2 12
direct
0.250 0.000 0.250 Rb
0.250 0.500 0.250 Rb
0.750 0.000 0.750 Rb
0.750 0.500 0.750 Rb
0.250 0.250 0.750 Ce
0.750 0.750 0.250 Ce
0.250 0.750 0.750 U
0.750 0.250 0.250 U
0.006 0.750 0.505 Se
0.006 0.750 0.993 Se
0.250 0.506 0.750 Se
0.250 0.994 0.750 Se
0.494 0.750 0.505 Se
0.494 0.750 0.993 Se
0.506 0.250 0.007 Se
0.506 0.250 0.495 Se
0.750 0.006 0.250 Se
0.750 0.494 0.250 Se
0.994 0.250 0.007 Se
0.994 0.250 0.495 Se
```

Principal peaks in the range 10° ≤ 2θ ≤ 80°, sorted by position:
2θ (°)	I_rel
16.07	65
22.80	68
32.46	100
36.42	35
40.04	32
46.57	72
57.91	25
77.36	32